Calculated X-ray powder pattern of Ba6In5N for Cu Kα (weighted mean of Kα1 and Kα2), from the PBE geometry in the Materials Project.
Kinematic intensities with the Lorentz-polarization factor, no thermal factor.

Structural model:
a = 8.3211 Å, b = 8.3211 Å, c = 44.7817 Å
α = 90.00°, β = 90.00°, γ = 120.00°
Space group R-3c (No. 167, hexagonal axes)
Asymmetric unit:
Ba (0.0170, 0.4498, 0.2016)
In (0.0000, 0.0000, 0.1933)
In (0.0000, 0.2163, 0.7500)
N (0.0000, 0.0000, 0.0000)

Principal peaks in the range 15° ≤ 2θ ≤ 90°, sorted by position:
| two_theta | Rel. int. | h k l |
| --- | --- | --- |
| 25.03 | 72 | 2 0 2 |
| 27.95 | 80 | 1 1 9 |
| 29.48 | 81 | 2 0 8 |
| 31.88 | 100 | 0 2 10 |
| 32.95 | 56 | 2 1 1 |
| 50.88 | 35 | 3 1 11 |

Calculated X-ray powder pattern of Er2TiCuO6 for Cu Kα (weighted mean of Kα1 and Kα2), from the PBE geometry in the Materials Project.
Kinematic intensities with the Lorentz-polarization factor, no thermal factor.

Structural model:
a = 3.5932 Å, b = 3.5932 Å, c = 11.3039 Å
α = 90.00°, β = 90.00°, γ = 120.00°
Space group P3m1 (No. 156)
Asymmetric unit:
Er (0.0000, 0.0000, 0.0000)
Er (0.0000, 0.0000, 0.4513)
Ti (0.6667, 0.3333, 0.7253)
Cu (0.3333, 0.6667, 0.2254)
O (0.0000, 0.0000, 0.2254)
O (0.0000, 0.0000, 0.7258)
O (0.3333, 0.6667, 0.0560)
O (0.3333, 0.6667, 0.3949)
O (0.6667, 0.3333, 0.5602)
O (0.6667, 0.3333, 0.8914)

Principal peaks in the range 15° ≤ 2θ ≤ 90°, sorted by position:
| two_theta | Rel. int. | h k l |
| --- | --- | --- |
| 15.68 | 36 | 0 0 2 |
| 28.69 | 50 | 1 0 0 |
| 31.66 | 27 | 0 0 4 |
| 32.86 | 100 | 1 0 2 |
| 43.25 | 31 | 1 0 4 |
| 50.82 | 40 | 1 1 0 |

Calculated X-ray powder pattern of AgTe3 for Cu Kα (weighted mean of Kα1 and Kα2), from the PBE geometry in the Materials Project.
Kinematic intensities with the Lorentz-polarization factor, no thermal factor.

Structural model:
a = 6.1469 Å, b = 6.1469 Å, c = 6.1469 Å
α = 90.00°, β = 90.00°, γ = 90.00°
Space group Im-3m (No. 229)
Asymmetric unit:
Ag (0.0000, 0.0000, 0.0000)
Te (0.0000, 0.0000, 0.5000)

Principal peaks in the range 15° ≤ 2θ ≤ 90°, sorted by position:
| two_theta | Rel. int. | h k l |
| --- | --- | --- |
| 29.05 | 100 | 2 0 0 |
| 41.55 | 75 | 2 2 0 |
| 51.50 | 26 | 2 2 2 |
| 60.22 | 12 | 4 0 0 |
| 68.23 | 33 | 4 2 0 |
| 75.82 | 25 | 4 2 2 |